For CaTb4P4O16, the GGA-PBE geometry in the Materials Project gives the theoretical powder XRD pattern in this record (Cu Kα X-rays).
Kinematic intensities with the Lorentz-polarization factor, no thermal factor.

Principal peaks in the range 15 to 90 degrees two-theta, by angle:
2theta  Rel. int.
15.43  26
21.79  70
23.93  42
27.86  28
27.97  100
29.33  32
31.15  24
33.79  35

Unit cell a=6.5309 b=6.6405 c=8.4710 alpha=96.88 beta=104.62 gamma=99.46
Atoms (fractional coordinates):
Ca (0.0000, 0.0000, 0.0000)
Tb (0.0872, 0.7666, 0.6189)
Tb (0.3967, 0.6827, 0.0674)
Tb (0.6858, 0.3752, 0.7702)
Tb (0.8076, 0.1873, 0.3566)
P (0.1614, 0.3202, 0.7547)
P (0.3632, 0.2588, 0.3081)
P (0.6353, 0.8635, 0.6337)
P (0.9041, 0.6580, 0.1792)
O (0.0691, 0.3219, 0.9065)
O (0.1239, 0.1701, 0.2975)
O (0.1760, 0.7982, 0.8876)
O (0.2090, 0.1163, 0.6877)
O (0.3744, 0.4862, 0.8023)
O (0.3781, 0.4615, 0.2403)
O (0.3971, 0.7890, 0.5451)
O (0.4434, 0.0925, 0.2008)
O (0.5255, 0.2863, 0.4828)
O (0.6758, 0.0355, 0.7873)
O (0.7285, 0.4846, 0.0408)
O (0.7499, 0.6920, 0.7035)
O (0.7614, 0.8499, 0.1701)
O (0.7742, 0.9434, 0.5189)
O (0.9047, 0.5677, 0.3453)
O (0.9842, 0.3900, 0.6200)

For CaTi4P6O24, the GGA-PBE geometry in the Materials Project gives the theoretical powder XRD pattern in this record (Cu Kα X-rays).
Kinematic intensities with the Lorentz-polarization factor, no thermal factor.

Principal peaks in the range 15 to 90 degrees two-theta, by angle:
2theta  Rel. int.
20.04  24
20.75  31
24.04  100
29.00  26
32.06  43
32.20  16
36.35  14
49.24  15

Unit cell a=8.8717 b=8.8717 c=8.8717 alpha=57.70 beta=57.70 gamma=57.70
Atoms (fractional coordinates):
Ca (0.0000, 0.0000, 0.0000)
Ti (0.1484, 0.1484, 0.1484)
Ti (0.3600, 0.3600, 0.3600)
Ti (0.6400, 0.6400, 0.6400)
Ti (0.8516, 0.8516, 0.8516)
P (0.0299, 0.7531, 0.4600)
P (0.2469, 0.5400, 0.9701)
P (0.4600, 0.0299, 0.7531)
P (0.5400, 0.9701, 0.2469)
P (0.7531, 0.4600, 0.0299)
P (0.9701, 0.2469, 0.5400)
O (0.0046, 0.1966, 0.3787)
O (0.0825, 0.9105, 0.2652)
O (0.0895, 0.7348, 0.9175)
O (0.1512, 0.2542, 0.5150)
O (0.1966, 0.3787, 0.0046)
O (0.1973, 0.5632, 0.4614)
O (0.2542, 0.5150, 0.1512)
O (0.2652, 0.0825, 0.9105)
O (0.3787, 0.0046, 0.1966)
O (0.4368, 0.5386, 0.8027)
O (0.4614, 0.1973, 0.5632)
O (0.4850, 0.8488, 0.7458)
O (0.5150, 0.1512, 0.2542)
O (0.5386, 0.8027, 0.4368)
O (0.5632, 0.4614, 0.1973)
O (0.6213, 0.9954, 0.8034)
O (0.7348, 0.9175, 0.0895)
O (0.7458, 0.4850, 0.8488)
O (0.8027, 0.4368, 0.5386)
O (0.8034, 0.6213, 0.9954)
O (0.8488, 0.7458, 0.4850)
O (0.9105, 0.2652, 0.0825)
O (0.9175, 0.0895, 0.7348)
O (0.9954, 0.8034, 0.6213)

For CaTi2P2O9, the GGA-PBE geometry in the Materials Project gives the theoretical powder XRD pattern in this record (Cu Kα X-rays).
Kinematic intensities with the Lorentz-polarization factor, no thermal factor.

Principal peaks in the range 15 to 90 degrees two-theta, by angle:
2theta  Rel. int.
16.97  32
24.35  100
27.25  38
27.35  30
30.00  22
30.40  31
33.17  25
56.21  23

Unit cell a=14.4614 b=6.5462 c=7.5564 alpha=90.00 beta=90.00 gamma=90.00
Atoms (fractional coordinates):
Ca (0.2214, 0.2500, 0.1073)
Ca (0.2786, 0.7500, 0.6073)
Ca (0.7214, 0.2500, 0.3927)
Ca (0.7786, 0.7500, 0.8927)
Ti (0.0000, 0.0000, 0.0000)
Ti (0.0000, 0.5000, 0.0000)
Ti (0.1171, 0.2500, 0.6551)
Ti (0.3829, 0.7500, 0.1551)
Ti (0.5000, 0.0000, 0.5000)
Ti (0.5000, 0.5000, 0.5000)
Ti (0.6171, 0.2500, 0.8449)
Ti (0.8829, 0.7500, 0.3449)
P (0.0664, 0.7500, 0.6402)
P (0.1927, 0.7500, 0.1115)
P (0.3073, 0.2500, 0.6115)
P (0.4336, 0.2500, 0.1402)
P (0.5664, 0.7500, 0.8598)
P (0.6927, 0.7500, 0.3885)
P (0.8073, 0.2500, 0.8885)
P (0.9336, 0.2500, 0.3598)
O (0.0081, 0.2500, 0.5009)
O (0.0175, 0.7500, 0.8252)
O (0.0587, 0.2500, 0.8713)
O (0.1314, 0.5547, 0.1036)
O (0.1314, 0.9453, 0.1036)
O (0.1320, 0.5631, 0.6293)
O (0.1320, 0.9369, 0.6293)
O (0.2340, 0.2500, 0.4607)
O (0.2489, 0.2500, 0.7848)
O (0.2511, 0.7500, 0.2848)
O (0.2660, 0.7500, 0.9607)
O (0.3680, 0.0631, 0.1293)
O (0.3680, 0.4369, 0.1293)
O (0.3686, 0.0547, 0.6036)
O (0.3686, 0.4453, 0.6036)
O (0.4413, 0.7500, 0.3713)
O (0.4825, 0.2500, 0.3252)
O (0.4919, 0.7500, 0.0009)
O (0.5081, 0.2500, 0.9991)
O (0.5175, 0.7500, 0.6748)
O (0.5587, 0.2500, 0.6287)
O (0.6314, 0.5547, 0.3964)
O (0.6314, 0.9453, 0.3964)
O (0.6320, 0.5631, 0.8707)
O (0.6320, 0.9369, 0.8707)
O (0.7340, 0.2500, 0.0393)
O (0.7489, 0.2500, 0.7152)
O (0.7511, 0.7500, 0.2152)
O (0.7660, 0.7500, 0.5393)
O (0.8680, 0.0631, 0.3707)
O (0.8680, 0.4369, 0.3707)
O (0.8686, 0.0547, 0.8964)
O (0.8686, 0.4453, 0.8964)
O (0.9413, 0.7500, 0.1287)
O (0.9825, 0.2500, 0.1748)
O (0.9919, 0.7500, 0.4991)

For CaUP2O8, the GGA-PBE geometry in the Materials Project gives the theoretical powder XRD pattern in this record (Cu Kα X-rays).
Kinematic intensities with the Lorentz-polarization factor, no thermal factor.

Principal peaks in the range 15 to 90 degrees two-theta, by angle:
2theta  Rel. int.
15.61  18
17.83  57
19.08  51
25.32  100
31.90  25
32.19  39
36.12  19
37.03  27

Unit cell a=14.0810 b=7.0282 c=6.2015 alpha=90.00 beta=90.00 gamma=90.00
Atoms (fractional coordinates):
Ca (0.1198, 0.2500, 0.1061)
Ca (0.3802, 0.7500, 0.6061)
Ca (0.6198, 0.2500, 0.3939)
Ca (0.8802, 0.7500, 0.8939)
U (0.1279, 0.7500, 0.3705)
U (0.3721, 0.2500, 0.8705)
U (0.6279, 0.7500, 0.1295)
U (0.8721, 0.2500, 0.6295)
P (0.1272, 0.7500, 0.8716)
P (0.1287, 0.2500, 0.5997)
P (0.3713, 0.7500, 0.0997)
P (0.3728, 0.2500, 0.3716)
P (0.6272, 0.7500, 0.6284)
P (0.6287, 0.2500, 0.9003)
P (0.8713, 0.7500, 0.4003)
P (0.8728, 0.2500, 0.1284)
O (0.0332, 0.2500, 0.7255)
O (0.0376, 0.7500, 0.7273)
O (0.1290, 0.5784, 0.0306)
O (0.1290, 0.9216, 0.0306)
O (0.1339, 0.0728, 0.4500)
O (0.1339, 0.4272, 0.4500)
O (0.2094, 0.2500, 0.7702)
O (0.2102, 0.7500, 0.7060)
O (0.2898, 0.2500, 0.2060)
O (0.2906, 0.7500, 0.2702)
O (0.3661, 0.5728, 0.9500)
O (0.3661, 0.9272, 0.9500)
O (0.3710, 0.0784, 0.5306)
O (0.3710, 0.4216, 0.5306)
O (0.4624, 0.2500, 0.2273)
O (0.4668, 0.7500, 0.2255)
O (0.5332, 0.2500, 0.7745)
O (0.5376, 0.7500, 0.7727)
O (0.6290, 0.5784, 0.4694)
O (0.6290, 0.9216, 0.4694)
O (0.6339, 0.0728, 0.0500)
O (0.6339, 0.4272, 0.0500)
O (0.7094, 0.2500, 0.7298)
O (0.7102, 0.7500, 0.7940)
O (0.7898, 0.2500, 0.2940)
O (0.7906, 0.7500, 0.2298)
O (0.8661, 0.5728, 0.5500)
O (0.8661, 0.9272, 0.5500)
O (0.8710, 0.0784, 0.9694)
O (0.8710, 0.4216, 0.9694)
O (0.9624, 0.2500, 0.2727)
O (0.9668, 0.7500, 0.2745)